No. 1
Structure and simulated powder XRD pattern of Cs2CoAgF6 (a structure optimized by DFT (PBE+U); Cu Kα (λ = 1.5418 Å)).

```
Cs2CoAgF6
1.0
0.000 4.473 4.473
4.473 0.000 4.473
4.473 4.473 0.000
Cs Co Ag F
2 1 1 6
Direct
0.250 0.250 0.250
0.750 0.750 0.750
0.000 0.000 0.000
0.500 0.500 0.500
0.220 0.220 0.780
0.220 0.780 0.220
0.220 0.780 0.780
0.780 0.220 0.220
0.780 0.220 0.780
0.780 0.780 0.220
```

The 10 most intense peaks (10° ≤ 2θ ≤ 90°), in order of rising 2θ:
- 2θ = 28.21°, intensity 100
- 2θ = 33.21°, intensity 3
- 2θ = 34.74°, intensity 9
- 2θ = 40.33°, intensity 34
- 2θ = 49.94°, intensity 39
- 2θ = 58.35°, intensity 21
- 2θ = 66.05°, intensity 19
- 2θ = 73.32°, intensity 7
- 2θ = 80.31°, intensity 21
- 2θ = 87.17°, intensity 3

***

No. 2
Structure and simulated powder XRD pattern of Na3NiO2 (a structure optimized by DFT (PBE+U); Cu Kα (λ = 1.5418 Å)).

```
Na3NiO2
1.0
10.821 0.000 0.000
0.000 6.307 0.000
0.000 0.000 5.541
Na Ni O
12 4 8
Direct
0.088 0.250 0.222
0.142 0.503 0.638
0.142 0.997 0.638
0.358 0.003 0.138
0.358 0.497 0.138
0.412 0.750 0.722
0.588 0.250 0.278
0.642 0.503 0.862
0.642 0.997 0.862
0.858 0.003 0.362
0.858 0.497 0.362
0.912 0.750 0.778
0.115 0.750 0.150
0.385 0.250 0.650
0.615 0.750 0.350
0.885 0.250 0.850
0.016 0.750 0.407
0.225 0.750 0.909
0.275 0.250 0.409
0.484 0.250 0.907
0.516 0.750 0.093
0.725 0.750 0.591
0.775 0.250 0.091
0.984 0.250 0.593
```

The 10 most intense peaks (10° ≤ 2θ ≤ 90°), in order of rising 2θ:
- 2θ = 21.64°, intensity 46
- 2θ = 22.92°, intensity 57
- 2θ = 28.30°, intensity 24
- 2θ = 33.12°, intensity 24
- 2θ = 33.39°, intensity 24
- 2θ = 33.74°, intensity 18
- 2θ = 36.76°, intensity 100
- 2θ = 41.08°, intensity 25
- 2θ = 41.38°, intensity 28
- 2θ = 58.54°, intensity 26